Diffraction record for GdTmCd6. The PXRD pattern is simulated, not measured: it uses a crystal structure in OQMD, relaxed with GGA-PBE and Cu Kα X-rays.
Intensities are scaled so that the largest is 100.

Main lines, low angle first (15 to 90 degrees two-theta):
3.743 Å, I 3
2.848 Å, I 25
2.483 Å, I 23
2.470 Å, I 100
1.871 Å, I 14
1.644 Å, I 19
1.431 Å, I 17
1.371 Å, I 20
1.369 Å, I 15
1.235 Å, I 4

Structure:
```
8
Lattice="6.576 0.000 0.000 -3.288 5.695 0.000 0.000 0.000 4.966" Properties=species:S:1:pos:R:3 pbc="T T T"
Gd 0.000 0.000 0.000
Tm 0.000 3.797 2.483
Cd 1.694 0.978 2.483
Cd 3.288 0.030 0.000
Cd 1.670 2.833 0.000
Cd 4.882 0.978 2.483
Cd 3.288 3.739 2.483
Cd 4.907 2.833 0.000
```

Diffraction record for Hf2Be2Ni3. The PXRD pattern is simulated, not measured: it uses a crystal structure in OQMD, relaxed with GGA-PBE and Cu Kα X-rays.
Intensities are scaled so that the largest is 100.

Main lines, low angle first (15 to 90 degrees two-theta):
3.356 Å, I 100
3.257 Å, I 30
2.884 Å, I 15
2.063 Å, I 71
2.017 Å, I 57
1.758 Å, I 16
1.743 Å, I 31
1.442 Å, I 19
1.338 Å, I 13
1.182 Å, I 19

Structure:
```
7
Lattice="2.063 1.191 6.514 -2.063 1.191 6.514 0.000 -2.382 6.514" Properties=species:S:1:pos:R:3 pbc="T T T"
Hf 0.000 0.000 0.000
Hf 0.000 0.000 9.436
Be 0.000 0.000 4.664
Be 0.000 0.000 14.418
Ni 0.000 0.000 6.976
Ni 0.000 0.000 11.981
Ni 0.000 0.000 16.978
```